Calculated powder diffractogram of Tm2MnTlO6 for λ = 1.5418 Å (Cu Kα), from a crystal structure in Alexandria, relaxed with PBE+U.
Peak positions follow from Bragg's law for the DFT cell and can differ from measured ones.

Cell and atoms:
```
Tm2MnTlO6
1.0
5.563 0.000 0.000
2.657 4.890 0.000
2.601 1.671 4.987
Tm Mn Tl O
2 1 1 6
Cartesian
0.000 0.000 0.000
5.434 3.266 2.653
8.077 4.929 4.520
2.709 1.659 1.774
3.378 3.086 3.426
4.557 4.692 1.084
6.333 5.030 3.617
4.763 1.897 0.856
6.364 1.493 3.598
6.975 3.304 0.901
```

Principal peaks in the range 15° ≤ 2θ ≤ 90°, sorted by position:
| Position (°2θ) | Rel. int. |
| --- | --- |
| 29.67 | 58.3 |
| 30.20 | 54.8 |
| 30.63 | 52.0 |
| 31.46 | 55.4 |
| 32.19 | 100.0 |
| 44.08 | 21.9 |
| 44.58 | 21.2 |
| 44.89 | 20.9 |
| 52.19 | 13.5 |
| 56.48 | 30.0 |
| 57.86 | 15.0 |
| 67.35 | 14.0 |